1.
Computed powder X-ray diffraction pattern
Compound: NiRh5W
Radiation: Cu Kα (λ = 1.5418 Å)
Structure: a crystal structure in Alexandria, relaxed with PBE
Intensities are scaled so that the largest is 100.

Crystal structure
```
14
Lattice="-3.475 5.302 2.908 3.475 -5.302 2.908 3.475 5.302 -2.908" Properties=species:S:1:pos:R:3 pbc="T T T"
Ni 0.000 0.000 0.000
Ni 0.000 5.302 0.000
Rh 2.080 1.276 -0.034
Rh 4.869 1.276 -0.034
Rh 2.080 4.026 -0.034
Rh 1.394 -1.276 2.874
Rh 0.000 2.651 1.214
Rh 3.475 2.651 1.693
Rh 2.080 6.578 0.034
Rh 1.394 1.276 2.942
Rh -1.394 4.026 2.942
Rh 1.394 4.026 2.942
W 3.475 -2.651 1.696
W 0.000 7.953 1.212
```

Top 6 peaks for 2θ = 15–90°, in order of rising 2θ:
two_theta  Rel. int.
16.72  43
30.76  45
40.45  68
41.99  50
42.91  100
46.35  60

2.
Computed powder X-ray diffraction pattern
Compound: NiRh4W
Radiation: Cu Kα (λ = 1.5418 Å)
Structure: a crystal structure in Alexandria, relaxed with PBE
Intensities are scaled so that the largest is 100.

Crystal structure
```
12
Lattice="11.610 0.000 0.000 0.000 2.750 0.000 -1.288 0.000 5.294" Properties=species:S:1:pos:R:3 pbc="T T T"
Ni 0.000 0.000 0.000
Ni 5.805 1.375 0.000
Rh 0.747 1.375 4.420
Rh 1.478 1.375 1.743
Rh 3.039 0.000 3.551
Rh 3.770 0.000 0.874
Rh 6.551 0.000 4.420
Rh 7.283 0.000 1.743
Rh 8.844 1.375 3.551
Rh 9.575 1.375 0.874
W -0.644 0.000 2.647
W 5.161 1.375 2.647
```

Top 6 peaks for 2θ = 15–90°, in order of rising 2θ:
two_theta  Rel. int.
40.65  100
40.91  98
46.95  66
48.42  29
69.79  19
83.23  25

3.
Computed powder X-ray diffraction pattern
Compound: Ni5Rh2W
Radiation: Cu Kα (λ = 1.5418 Å)
Structure: a crystal structure in Alexandria, relaxed with PBE
Intensities are scaled so that the largest is 100.

Crystal structure
```
16
Lattice="8.247 0.000 0.000 0.000 3.658 0.000 -3.284 0.000 6.585" Properties=species:S:1:pos:R:3 pbc="T T T"
Ni 0.000 0.000 0.000
Ni 1.639 1.829 0.804
Ni 0.830 0.000 2.450
Ni 0.010 1.829 4.135
Ni -0.799 0.000 5.781
Ni 4.124 1.829 0.000
Ni 5.762 0.000 0.804
Ni 4.954 1.829 2.450
Ni 4.133 0.000 4.135
Ni 3.325 1.829 5.781
Rh -2.457 1.829 4.942
Rh 3.297 0.000 1.643
Rh 1.666 0.000 4.942
Rh 7.421 1.829 1.643
W -1.642 0.000 3.293
W 2.482 1.829 3.293
```

Top 6 peaks for 2θ = 15–90°, in order of rising 2θ:
two_theta  Rel. int.
42.60  100
49.39  16
49.55  16
49.86  16
87.83  12
88.07  12

4.
Computed powder X-ray diffraction pattern
Compound: Ni3Rh4W
Radiation: Cu Kα (λ = 1.5418 Å)
Structure: a crystal structure in Alexandria, relaxed with PBE
Intensities are scaled so that the largest is 100.

Crystal structure
```
16
Lattice="8.594 0.000 0.000 0.000 5.443 0.000 0.000 0.000 4.538" Properties=species:S:1:pos:R:3 pbc="T T T"
Ni 0.000 0.000 0.000
Ni 2.149 0.000 1.575
Ni 2.149 2.721 1.615
Ni 4.297 0.000 0.000
Ni 6.446 0.000 2.963
Ni 6.446 2.721 2.923
Rh 0.000 1.353 2.269
Rh 0.000 4.090 2.269
Rh 2.149 1.316 3.897
Rh 2.149 4.126 3.897
Rh 4.297 1.353 2.269
Rh 4.297 4.090 2.269
Rh 6.446 1.316 0.641
Rh 6.446 4.126 0.641
W 0.000 2.721 0.000
W 4.297 2.721 0.000
```

Top 6 peaks for 2θ = 15–90°, in order of rising 2θ:
two_theta  Rel. int.
40.03  21
42.05  41
44.16  100
45.19  30
78.32  18
86.41  28

5.
Computed powder X-ray diffraction pattern
Compound: Y6NiRh
Radiation: Cu Kα (λ = 1.5418 Å)
Structure: a crystal structure in Alexandria, relaxed with PBE
Intensities are scaled so that the largest is 100.

Crystal structure
```
8
Lattice="3.276 1.891 6.387 -3.276 1.891 6.387 0.000 -3.782 6.387" Properties=species:S:1:pos:R:3 pbc="T T T"
Y -2.191 -0.037 8.005
Y -1.064 -1.916 11.157
Y 1.127 -1.879 8.005
Y -1.127 1.879 11.157
Y 1.064 1.916 8.005
Y 2.191 0.037 11.157
Ni 0.000 0.000 9.581
Rh 0.000 0.000 0.000
```

Top 6 peaks for 2θ = 15–90°, in order of rising 2θ:
two_theta  Rel. int.
18.17  21
30.67  100
39.40  44
48.11  31
51.17  23
58.14  17

6.
Computed powder X-ray diffraction pattern
Compound: YNi2Rh2
Radiation: Cu Kα (λ = 1.5418 Å)
Structure: a crystal structure in Alexandria, relaxed with PBE
Intensities are scaled so that the largest is 100.

Crystal structure
```
10
Lattice="4.162 0.000 0.000 0.000 4.162 0.000 0.000 0.000 9.696" Properties=species:S:1:pos:R:3 pbc="T T T"
Y 0.000 0.000 0.000
Y 2.081 2.081 4.848
Ni 0.000 2.081 2.424
Ni 0.000 2.081 7.272
Ni 2.081 0.000 2.424
Ni 2.081 0.000 7.272
Rh 0.000 0.000 3.646
Rh 0.000 0.000 6.050
Rh 2.081 2.081 1.202
Rh 2.081 2.081 8.494
```

Top 6 peaks for 2θ = 15–90°, in order of rising 2θ:
two_theta  Rel. int.
30.37  39
35.16  100
35.69  86
43.49  90
48.67  44
57.10  48

Which formula does entry 1 have? NiRh5W